# Ac3Sc
Computed powder X-ray diffraction pattern, Cu Kα X-rays. Input: a cell relaxed with PBE.

Structure:
a b c (Å): 7.7253 7.7253 6.1543
angles (deg): 90.00 90.00 120.00
Space group P6_3/mmc (No. 194)
Unique sites:
Ac (0.1716, 0.3433, 0.2500) [6 per cell]
Sc (0.3333, 0.6667, 0.7500) [2 per cell]

Principal peaks in the range 2θ from 10° to 90°, sorted by position:
two_theta	d_spacing	intensity	hkl
19.60	4.529	21	1 0 1
26.65	3.345	23	2 0 0
29.02	3.077	25	0 0 2
30.41	2.939	100	2 0 1
39.80	2.265	16	2 0 2
47.05	1.931	20	2 2 0
52.31	1.749	22	2 0 3
56.23	1.636	24	2 2 2
57.06	1.614	17	4 0 1
76.99	1.238	14	4 2 1

---

# Ce5AgSn3
Computed powder X-ray diffraction pattern, Cu Kα X-rays. Input: a cell relaxed with PBE.

Structure:
a b c (Å): 9.5434 9.5434 6.5634
angles (deg): 90.00 90.00 120.00
Space group P6_3/mcm (No. 193)
Unique sites:
Ce (0.0000, 0.2855, 0.2500) [6 per cell]
Ce (0.3333, 0.6667, 0.0000) [4 per cell]
Ag (0.0000, 0.0000, 0.0000) [2 per cell]
Sn (0.0000, 0.3709, 0.7500) [6 per cell]

Principal peaks in the range 2θ from 10° to 90°, sorted by position:
two_theta	d_spacing	intensity	hkl
31.72	2.821	35	2 1 1
32.50	2.755	95	3 0 0
33.13	2.704	100	1 1 2
41.74	2.164	11	3 1 1
47.09	1.930	31	2 2 2
58.37	1.581	28	4 1 2
60.98	1.519	11	4 2 1
64.34	1.448	11	5 1 1
66.30	1.410	25	3 0 4
77.79	1.228	15	5 2 2

---

# Lu3Ga8Ir3
Computed powder X-ray diffraction pattern, Cu Kα X-rays. Input: a cell relaxed with PBE.

Structure:
a b c (Å): 4.163 9.952 12.116
angles (deg): 90.00 90.00 90.00
Space group Immm (No. 71)
Unique sites:
Lu (0.000, 0.000, 0.000) [2 per cell]
Lu (0.000, 0.000, 0.330) [4 per cell]
Ga (0.000, 0.288, 0.127) [8 per cell]
Ga (0.000, 0.373, 0.336) [8 per cell]
Ir (0.000, 0.212, 0.500) [4 per cell]
Ir (0.000, 0.500, 0.000) [2 per cell]

Principal peaks in the range 2θ from 10° to 90°, sorted by position:
two_theta	d_spacing	intensity	hkl
11.51	7.690	22	0 1 1
14.62	6.058	24	0 0 2
28.92	3.088	14	1 2 1
35.00	2.563	15	0 3 3
35.85	2.505	100	1 2 3
37.72	2.385	18	1 3 2
43.48	2.082	27	2 0 0
44.89	2.019	17	0 0 6
46.07	1.970	20	1 3 4
47.08	1.930	14	1 2 5

---

# Nb4O9
Computed powder X-ray diffraction pattern, Cu Kα X-rays. Input: a cell relaxed with PBE.

Structure:
a b c (Å): 5.058 5.622 6.972
angles (deg): 105.18 109.59 91.13
Space group P1 (No. 1)
Unique sites:
Nb (0.000, 0.000, 0.000) [1 per cell]
Nb (0.220, 0.049, 0.546) [1 per cell]
Nb (0.459, 0.513, 0.968) [1 per cell]
Nb (0.742, 0.545, 0.536) [1 per cell]
O (0.108, 0.431, 0.676) [1 per cell]
O (0.181, 0.308, 0.036) [1 per cell]
O (0.313, 0.821, 0.057) [1 per cell]
O (0.424, 0.780, 0.509) [1 per cell]
O (0.513, 0.268, 0.504) [1 per cell]
O (0.719, 0.662, 0.863) [1 per cell]
O (0.720, 0.513, 0.247) [1 per cell]
O (0.950, 0.047, 0.267) [1 per cell]
O (0.984, 0.913, 0.678) [1 per cell]

Principal peaks in the range 2θ from 10° to 90°, sorted by position:
two_theta	d_spacing	intensity	hkl
23.51	3.784	100	1 -1 0
24.07	3.698	62	1 1 -1
26.49	3.365	72	1 1 0
28.35	3.148	79	0 0 2
28.50	3.132	51	1 -1 1
29.40	3.038	48	1 1 -2
33.26	2.694	46	0 2 0
35.23	2.547	23	1 1 1
35.54	2.526	58	-1 1 2
51.53	1.773	38	2 -2 1

---

# K2TbAuCl6
Computed powder X-ray diffraction pattern, Cu Kα X-rays. Input: a cell relaxed with PBE.

Structure:
a b c (Å): 10.763 10.763 10.763
angles (deg): 90.00 90.00 90.00
Space group Fm-3m (No. 225)
Unique sites:
K (0.250, 0.250, 0.250) [8 per cell]
Tb (0.000, 0.000, 0.000) [4 per cell]
Au (0.000, 0.000, 0.500) [4 per cell]
Cl (0.000, 0.000, 0.245) [24 per cell]

Principal peaks in the range 2θ from 10° to 90°, sorted by position:
two_theta	d_spacing	intensity	hkl
16.47	5.381	100	2 0 0
23.38	3.805	98	2 2 0
33.30	2.691	65	4 0 0
37.37	2.407	53	4 2 0
41.08	2.197	46	4 2 2
47.81	1.903	44	4 4 0
50.90	1.794	28	6 0 0
53.87	1.702	21	6 2 0
64.82	1.438	24	6 4 2
79.68	1.203	19	8 4 0

---

# Mg6NbB
Computed powder X-ray diffraction pattern, Cu Kα X-rays. Input: a cell relaxed with PBE.

Structure:
a b c (Å): 4.572 6.408 10.741
angles (deg): 90.00 90.00 90.00
Space group Amm2 (No. 38)
Unique sites:
Mg (0.000, 0.000, 0.000) [2 per cell]
Mg (0.000, 0.236, 0.253) [4 per cell]
Mg (0.500, 0.000, 0.831) [2 per cell]
Mg (0.500, 0.244, 0.572) [4 per cell]
Nb (0.000, 0.000, 0.485) [2 per cell]
B (0.500, 0.000, 0.402) [2 per cell]

Principal peaks in the range 2θ from 10° to 90°, sorted by position:
two_theta	d_spacing	intensity	hkl
16.11	5.503	41	0 1 1
16.51	5.371	36	0 0 2
19.41	4.572	22	1 0 0
25.33	3.517	40	1 1 1
28.56	3.126	20	0 1 3
32.54	2.751	38	0 2 2
38.17	2.358	100	1 2 2
38.89	2.316	47	1 0 4
39.41	2.286	31	2 0 0
52.01	1.758	19	2 2 2